No. 1
This entry pairs a crystal structure of DyY2MoO8 with its computed powder diffraction line list. Radiation: Cu Kα (weighted mean of Kα1 and Kα2). Structure: a GGA+U-relaxed structure.

The 6 most intense peaks (5° ≤ 2θ ≤ 70°), low angle first:
| Position (°2θ) | Rel. int. |
| --- | --- |
| 24.7 | 650 |
| 25.0 | 591 |
| 31.7 | 1000 |
| 35.5 | 267 |
| 48.1 | 438 |
| 48.5 | 396 |

Structure:
Lattice parameters (Å, degrees): 5.064 5.064 6.808 90.00 90.00 90.77
Atoms (fractional coordinates):
1 Dy 0.000 0.000 0.000
2 Y 0.500 0.500 0.251
3 Y 0.500 0.500 0.749
4 Mo 0.000 0.000 0.500
5 O 0.182 0.818 0.288
6 O 0.182 0.818 0.712
7 O 0.274 0.274 0.500
8 O 0.307 0.307 0.000
9 O 0.693 0.693 0.000
10 O 0.726 0.726 0.500
11 O 0.818 0.182 0.288
12 O 0.818 0.182 0.712

***

No. 2
This entry pairs a crystal structure of Mn2OF3 with its computed powder diffraction line list. Radiation: Cu Kα (weighted mean of Kα1 and Kα2). Structure: a GGA+U-relaxed structure.

The 6 most intense peaks (5° ≤ 2θ ≤ 70°), low angle first:
| Position (°2θ) | Rel. int. |
| --- | --- |
| 26.5 | 1000 |
| 33.2 | 257 |
| 37.8 | 154 |
| 50.2 | 165 |
| 52.2 | 165 |
| 54.5 | 187 |

Structure:
Lattice parameters (Å, degrees): 5.657 4.758 11.112 90.00 97.32 90.00
Atoms (fractional coordinates):
1 Mn 0.000 0.000 0.000
2 Mn 0.000 0.500 0.500
3 Mn 0.237 0.042 0.731
4 Mn 0.237 0.458 0.231
5 Mn 0.500 0.000 0.500
6 Mn 0.500 0.500 0.000
7 Mn 0.763 0.542 0.769
8 Mn 0.763 0.958 0.269
9 O 0.235 0.206 0.560
10 O 0.235 0.294 0.060
11 O 0.765 0.706 0.940
12 O 0.765 0.794 0.440
13 F 0.043 0.680 0.675
14 F 0.043 0.820 0.175
15 F 0.260 0.699 0.414
16 F 0.260 0.801 0.914
17 F 0.471 0.184 0.331
18 F 0.471 0.316 0.831
19 F 0.529 0.684 0.169
20 F 0.529 0.816 0.669
21 F 0.740 0.199 0.086
22 F 0.740 0.301 0.586
23 F 0.957 0.180 0.825
24 F 0.957 0.320 0.325